# 1
Zr2Te4Br2O11: theoretical PXRD pattern (Cu Kα, 1.54184 Å), based on a structure optimized by DFT (PBE).
Kinematic intensities with the Lorentz-polarization factor, no thermal factor.

The 10 most intense peaks (2θ from 10° to 80°), in order of rising 2θ:
d 3.832, rel. 100, (1 2 -1); d 3.318, rel. 57, (1 0 -3); d 3.316, rel. 57, (2 -2 0); d 2.819, rel. 36, (1 -2 3); d 2.604, rel. 42, (3 0 -1); d 2.421, rel. 50, (2 2 -4); d 2.147, rel. 12, (0 4 -4); d 2.051, rel. 18, (-3 2 3); d 1.916, rel. 17, (2 4 -2); d 1.708, rel. 15, (0 2 -6)

Cell: 7.965 9.896 10.827 Å, 113.10 107.39 98.44°
Space group P-1 (No. 2)
Symmetry-distinct sites (fractional):
Zr (0.112, 0.389, 0.381) x2
Zr (0.376, 0.110, 0.108) x2
Te (0.014, 0.259, 0.008) x2
Te (0.219, 0.018, 0.744) x2
Te (0.255, 0.511, 0.786) x2
Te (0.485, 0.760, 0.480) x2
Br (0.098, 0.874, 0.365) x2
Br (0.366, 0.614, 0.108) x2
O (0.068, 0.612, 0.825) x2
O (0.069, 0.823, 0.682) x2
O (0.106, 0.491, 0.597) x2
O (0.173, 0.918, 0.053) x2
O (0.182, 0.135, 0.923) x2
O (0.183, 0.256, 0.179) x2
O (0.295, 0.583, 0.419) x2
O (0.318, 0.326, 0.502) x2
O (0.415, 0.008, 0.896) x2
O (0.442, 0.679, 0.832) x2
O (0.486, 0.140, 0.323) x2

# 2
TiBrO: theoretical PXRD pattern (Cu Kα, 1.54184 Å), based on a structure optimized by DFT (PBE).
Kinematic intensities with the Lorentz-polarization factor, no thermal factor.

The 10 most intense peaks (2θ from 10° to 80°), in order of rising 2θ:
d 8.409, rel. 38, (0 0 1); d 3.647, rel. 100, (0 1 1); d 2.803, rel. 22, (0 0 3); d 2.638, rel. 59, (1 0 2); d 2.482, rel. 28, (1 1 1); d 2.210, rel. 32, (1 1 2); d 2.159, rel. 24, (1 0 3); d 2.024, rel. 23, (0 2 0); d 1.905, rel. 21, (1 1 3); d 1.606, rel. 23, (1 2 2)

Cell: 3.387 4.048 8.409 Å, 90.00 90.00 90.00°
Space group Pmmn (No. 59, origin choice 2)
Symmetry-distinct sites (fractional):
Ti (0.250, 0.250, 0.078) x2
Br (0.250, 0.750, 0.689) x2
O (0.250, 0.750, 0.065) x2

# 3
TiBrO: theoretical PXRD pattern (Cu Kα, 1.54184 Å), based on a structure optimized by DFT (PBE).
Kinematic intensities with the Lorentz-polarization factor, no thermal factor.

The 10 most intense peaks (2θ from 10° to 80°), in order of rising 2θ:
d 3.378, rel. 100, (1 0 1); d 3.337, rel. 30, (0 0 3); d 2.660, rel. 24, (0 1 1); d 2.502, rel. 14, (0 0 4); d 2.126, rel. 30, (0 1 3); d 2.053, rel. 23, (1 0 4); d 2.004, rel. 98, (1 1 2); d 1.829, rel. 17, (1 1 3); d 1.794, rel. 19, (2 0 0); d 1.371, rel. 14, (2 1 3)

Cell: 3.589 2.759 10.010 Å, 90.00 90.00 90.00°
Space group Pmma (No. 51)
Symmetry-distinct sites (fractional):
Ti (0.250, 0.000, 0.098) x2
Br (0.250, 0.500, 0.329) x2
O (0.250, 0.500, 0.925) x2

# 4
TmBrO: theoretical PXRD pattern (Cu Kα, 1.54184 Å), based on a structure optimized by DFT (PBE).
Kinematic intensities with the Lorentz-polarization factor, no thermal factor.

The 10 most intense peaks (2θ from 10° to 80°), in order of rising 2θ:
d 8.609, rel. 56, (0 0 1); d 2.849, rel. 100, (1 0 2); d 2.688, rel. 42, (1 1 0); d 2.290, rel. 15, (1 0 3); d 1.900, rel. 20, (2 0 0); d 1.680, rel. 16, (1 1 4); d 1.581, rel. 34, (2 1 2); d 1.463, rel. 7, (2 1 3); d 1.343, rel. 10, (2 2 0); d 1.202, rel. 7, (3 1 0)

Cell: 3.801 3.801 8.609 Å, 90.00 90.00 90.00°
Space group P4/nmm (No. 129, origin choice 2)
Symmetry-distinct sites (fractional):
Tm (0.250, 0.250, 0.129) x2
Br (0.250, 0.250, 0.676) x2
O (0.250, 0.750, 0.000) x2